No. 1
# Cs2MnSO4F3
Calculated X-ray powder pattern, Cu Ka. Input: a DFT-relaxed cell (PBE+U, the Materials Project).
Kinematic intensities with the Lorentz-polarization factor, no thermal factor.

Structure:
```
Cs2MnSO4F3
1.0
7.5649 0.0000 0.0000
0.0000 11.9410 0.0000
-0.4194 0.0000 9.3971
Cs Mn S O F
8 4 4 16 12
direct
0.2086 0.1878 0.3305 Cs
0.2086 0.3122 0.8305 Cs
0.2883 0.6904 0.8247 Cs
0.2883 0.8096 0.3247 Cs
0.7117 0.1904 0.6753 Cs
0.7117 0.3096 0.1753 Cs
0.7914 0.6878 0.1695 Cs
0.7914 0.8122 0.6695 Cs
0.0000 0.0000 0.0000 Mn
0.0000 0.5000 0.5000 Mn
0.5000 0.0000 0.0000 Mn
0.5000 0.5000 0.5000 Mn
0.2542 0.0020 0.7094 S
0.2542 0.4980 0.2094 S
0.7458 0.5020 0.7906 S
0.7458 0.9980 0.2906 S
0.1078 0.0468 0.7958 O
0.1078 0.4532 0.2958 O
0.1917 0.5926 0.1202 O
0.1917 0.9074 0.6202 O
0.3292 0.0938 0.6272 O
0.3292 0.4062 0.1272 O
0.3990 0.5471 0.3117 O
0.3990 0.9529 0.8117 O
0.6010 0.0471 0.1883 O
0.6010 0.4529 0.6883 O
0.6708 0.5938 0.8728 O
0.6708 0.9062 0.3728 O
0.8083 0.0926 0.3798 O
0.8083 0.4074 0.8798 O
0.8922 0.5468 0.7042 O
0.8922 0.9532 0.2042 O
0.0196 0.6528 0.4624 F
0.0196 0.8472 0.9624 F
0.2374 0.0015 0.0911 F
0.2374 0.4985 0.5911 F
0.4821 0.1526 0.9533 F
0.4821 0.3474 0.4533 F
0.5179 0.6526 0.5467 F
0.5179 0.8474 0.0467 F
0.7626 0.5015 0.4089 F
0.7626 0.9985 0.9089 F
0.9804 0.1528 0.0376 F
0.9804 0.3472 0.5376 F
```

Top 12 peaks for 15 to 90 degrees two-theta, by angle:
- d = 4.072 Å, intensity 22
- d = 3.779 Å, intensity 32
- d = 3.665 Å, intensity 33
- d = 3.413 Å, intensity 22
- d = 3.364 Å, intensity 42
- d = 3.320 Å, intensity 77
- d = 3.274 Å, intensity 100
- d = 3.193 Å, intensity 24
- d = 3.030 Å, intensity 30
- d = 3.011 Å, intensity 23
- d = 2.221 Å, intensity 27
- d = 1.900 Å, intensity 26

---

No. 2
# CsTiMnOF5
Calculated X-ray powder pattern, Cu Ka. Input: a DFT-relaxed cell (PBE+U, the Materials Project).
Kinematic intensities with the Lorentz-polarization factor, no thermal factor.

Structure:
```
CsTiMnOF5
1.0
-3.6976 3.8179 5.3748
3.6976 -3.8179 5.3748
3.6976 3.8179 -5.3748
Cs Ti Mn O F
2 2 2 2 10
direct
0.3701 0.1201 0.2500 Cs
0.6299 0.8799 0.7500 Cs
0.0000 0.0000 0.5000 Ti
0.0000 0.5000 0.0000 Ti
0.0000 0.5000 0.5000 Mn
0.5000 0.5000 0.0000 Mn
0.0242 0.7742 0.2500 O
0.9758 0.2258 0.7500 O
0.0543 0.3986 0.2084 F
0.0543 0.8459 0.6557 F
0.3098 0.1541 0.7084 F
0.3098 0.6014 0.1557 F
0.3315 0.5815 0.7500 F
0.6685 0.4185 0.2500 F
0.6902 0.3986 0.8443 F
0.6902 0.8459 0.2916 F
0.9457 0.1541 0.3443 F
0.9457 0.6014 0.7916 F
```

Top 12 peaks for 15 to 90 degrees two-theta, by angle:
- d = 3.778 Å, intensity 56
- d = 3.239 Å, intensity 100
- d = 3.225 Å, intensity 29
- d = 3.179 Å, intensity 67
- d = 3.113 Å, intensity 15
- d = 2.438 Å, intensity 17
- d = 2.075 Å, intensity 23
- d = 2.032 Å, intensity 23
- d = 1.889 Å, intensity 47
- d = 1.849 Å, intensity 15
- d = 1.697 Å, intensity 17
- d = 1.643 Å, intensity 14

---

No. 3
# CsRbMnF6
Calculated X-ray powder pattern, Cu Ka. Input: a DFT-relaxed cell (PBE+U, the Materials Project).
Kinematic intensities with the Lorentz-polarization factor, no thermal factor.

Structure:
```
CsRbMnF6
1.0
0.0000 4.4633 4.4633
4.4633 0.0000 4.4633
4.4633 4.4633 0.0000
Cs Rb Mn F
1 1 1 6
direct
0.0000 0.0000 0.0000 Cs
0.5000 0.5000 0.5000 Rb
0.7500 0.7500 0.7500 Mn
0.5428 0.5428 0.9572 F
0.5428 0.9572 0.5428 F
0.5428 0.9572 0.9572 F
0.9572 0.5428 0.5428 F
0.9572 0.5428 0.9572 F
0.9572 0.9572 0.5428 F
```

Top 12 peaks for 15 to 90 degrees two-theta, by angle:
- d = 5.154 Å, intensity 38
- d = 4.463 Å, intensity 25
- d = 3.156 Å, intensity 100
- d = 2.577 Å, intensity 44
- d = 2.232 Å, intensity 43
- d = 1.996 Å, intensity 17
- d = 1.822 Å, intensity 34
- d = 1.578 Å, intensity 24
- d = 1.488 Å, intensity 10
- d = 1.411 Å, intensity 22
- d = 1.346 Å, intensity 12
- d = 1.193 Å, intensity 23

---

No. 4
# Cs3Mo2O6F3
Calculated X-ray powder pattern, Cu Ka. Input: a DFT-relaxed cell (PBE+U, the Materials Project).
Kinematic intensities with the Lorentz-polarization factor, no thermal factor.

Structure:
```
Cs3Mo2O6F3
1.0
6.5184 0.0000 0.0000
-3.2592 5.6451 0.0000
0.0000 0.0000 15.7861
Cs Mo O F
6 4 12 6
direct
0.3333 0.6667 0.0594 Cs
0.3333 0.6667 0.4406 Cs
0.3333 0.6667 0.7500 Cs
0.6667 0.3333 0.2500 Cs
0.6667 0.3333 0.5594 Cs
0.6667 0.3333 0.9406 Cs
0.0000 0.0000 0.1425 Mo
0.0000 0.0000 0.3575 Mo
0.0000 0.0000 0.6425 Mo
0.0000 0.0000 0.8575 Mo
0.1436 0.2872 0.5977 O
0.1436 0.2872 0.9023 O
0.1436 0.8564 0.5977 O
0.1436 0.8564 0.9023 O
0.2872 0.1436 0.0977 O
0.2872 0.1436 0.4023 O
0.7128 0.8564 0.5977 O
0.7128 0.8564 0.9023 O
0.8564 0.1436 0.0977 O
0.8564 0.1436 0.4023 O
0.8564 0.7128 0.0977 O
0.8564 0.7128 0.4023 O
0.1281 0.2562 0.2500 F
0.1281 0.8719 0.2500 F
0.2562 0.1281 0.7500 F
0.7438 0.8719 0.2500 F
0.8719 0.1281 0.7500 F
0.8719 0.7438 0.7500 F
```

Top 12 peaks for 15 to 90 degrees two-theta, by angle:
- d = 3.849 Å, intensity 83
- d = 3.259 Å, intensity 100
- d = 3.234 Å, intensity 42
- d = 2.487 Å, intensity 59
- d = 2.296 Å, intensity 14
- d = 1.977 Å, intensity 20
- d = 1.925 Å, intensity 15
- d = 1.882 Å, intensity 19
- d = 1.877 Å, intensity 18
- d = 1.657 Å, intensity 15
- d = 1.630 Å, intensity 19
- d = 1.421 Å, intensity 15

---

No. 5
# CsRb2MoF6
Calculated X-ray powder pattern, Cu Ka. Input: a DFT-relaxed cell (PBE+U, the Materials Project).
Kinematic intensities with the Lorentz-polarization factor, no thermal factor.

Structure:
```
CsRb2MoF6
1.0
0.0000 4.8669 4.8669
4.8669 0.0000 4.8669
4.8669 4.8669 0.0000
Cs Rb Mo F
1 2 1 6
direct
0.0000 0.0000 0.0000 Cs
0.2500 0.2500 0.2500 Rb
0.7500 0.7500 0.7500 Rb
0.5000 0.5000 0.5000 Mo
0.2867 0.2867 0.7133 F
0.2867 0.7133 0.2867 F
0.2867 0.7133 0.7133 F
0.7133 0.2867 0.2867 F
0.7133 0.2867 0.7133 F
0.7133 0.7133 0.2867 F
```

Top 12 peaks for 15 to 90 degrees two-theta, by angle:
- d = 4.867 Å, intensity 9
- d = 3.441 Å, intensity 100
- d = 2.433 Å, intensity 36
- d = 2.233 Å, intensity 2
- d = 2.177 Å, intensity 3
- d = 1.987 Å, intensity 39
- d = 1.721 Å, intensity 22
- d = 1.539 Å, intensity 21
- d = 1.405 Å, intensity 7
- d = 1.301 Å, intensity 23
- d = 1.217 Å, intensity 3
- d = 1.147 Å, intensity 11

---

No. 6
# Cs2NiF6
Calculated X-ray powder pattern, Cu Ka. Input: a DFT-relaxed cell (PBE+U, the Materials Project).
Kinematic intensities with the Lorentz-polarization factor, no thermal factor.

Structure:
```
Cs2NiF6
1.0
0.0000 4.5251 4.5251
4.5251 0.0000 4.5251
4.5251 4.5251 0.0000
Cs Ni F
2 1 6
direct
0.2500 0.2500 0.2500 Cs
0.7500 0.7500 0.7500 Cs
0.0000 0.0000 0.0000 Ni
0.1998 0.1998 0.8002 F
0.1998 0.8002 0.1998 F
0.1998 0.8002 0.8002 F
0.8002 0.1998 0.1998 F
0.8002 0.1998 0.8002 F
0.8002 0.8002 0.1998 F
```

Top 12 peaks for 15 to 90 degrees two-theta, by angle:
- d = 5.225 Å, intensity 28
- d = 4.525 Å, intensity 27
- d = 3.200 Å, intensity 100
- d = 2.613 Å, intensity 36
- d = 2.263 Å, intensity 36
- d = 2.024 Å, intensity 18
- d = 1.847 Å, intensity 34
- d = 1.600 Å, intensity 20
- d = 1.508 Å, intensity 11
- d = 1.431 Å, intensity 22
- d = 1.364 Å, intensity 9
- d = 1.209 Å, intensity 23

---

No. 7
# Cs7Ni4F15
Calculated X-ray powder pattern, Cu Ka. Input: a DFT-relaxed cell (PBE+U, the Materials Project).
Kinematic intensities with the Lorentz-polarization factor, no thermal factor.

Structure:
```
Cs7Ni4F15
1.0
7.9539 0.0000 0.0000
0.0000 11.0425 0.0000
-0.5004 0.0000 11.6203
Cs Ni F
14 8 30
direct
0.0000 0.0000 0.0000 Cs
0.0000 0.5000 0.5000 Cs
0.1620 0.1536 0.3033 Cs
0.1620 0.3464 0.8033 Cs
0.3299 0.0041 0.6674 Cs
0.3299 0.4959 0.1674 Cs
0.4974 0.1810 0.0286 Cs
0.4974 0.3190 0.5286 Cs
0.5026 0.6810 0.4714 Cs
0.5026 0.8190 0.9714 Cs
0.6701 0.5041 0.8326 Cs
0.6701 0.9959 0.3326 Cs
0.8380 0.6536 0.1967 Cs
0.8380 0.8464 0.6967 Cs
0.0769 0.6623 0.9297 Ni
0.0769 0.8377 0.4297 Ni
0.2586 0.6730 0.7290 Ni
0.2586 0.8270 0.2290 Ni
0.7414 0.1730 0.7710 Ni
0.7414 0.3270 0.2710 Ni
0.9231 0.1623 0.5703 Ni
0.9231 0.3377 0.0703 Ni
0.0000 0.0000 0.5000 F
0.0000 0.5000 0.0000 F
0.0219 0.6027 0.7615 F
0.0219 0.8973 0.2615 F
0.1479 0.2356 0.5542 F
0.1479 0.2644 0.0542 F
0.1683 0.7339 0.0835 F
0.1683 0.7661 0.5835 F
0.1705 0.6914 0.3371 F
0.1705 0.8086 0.8371 F
0.3106 0.5929 0.8929 F
0.3106 0.9071 0.3929 F
0.3309 0.5279 0.6422 F
0.3309 0.9721 0.1422 F
0.4856 0.7485 0.7215 F
0.4856 0.7515 0.2215 F
0.5144 0.2485 0.7785 F
0.5144 0.2515 0.2785 F
0.6691 0.0279 0.8578 F
0.6691 0.4721 0.3578 F
0.6894 0.0929 0.6071 F
0.6894 0.4071 0.1071 F
0.8295 0.1914 0.1629 F
0.8295 0.3086 0.6629 F
0.8317 0.2339 0.4165 F
0.8317 0.2661 0.9165 F
0.8521 0.7356 0.9458 F
0.8521 0.7644 0.4458 F
0.9781 0.1027 0.7385 F
0.9781 0.3973 0.2385 F
```

Top 12 peaks for 15 to 90 degrees two-theta, by angle:
- d = 3.655 Å, intensity 30
- d = 3.618 Å, intensity 31
- d = 3.602 Å, intensity 33
- d = 3.216 Å, intensity 45
- d = 3.196 Å, intensity 100
- d = 2.981 Å, intensity 15
- d = 2.809 Å, intensity 16
- d = 2.419 Å, intensity 19
- d = 2.393 Å, intensity 36
- d = 2.388 Å, intensity 25
- d = 1.853 Å, intensity 15
- d = 1.597 Å, intensity 15

---

No. 8
# Cs3NiF7
Calculated X-ray powder pattern, Cu Ka. Input: a DFT-relaxed cell (PBE+U, the Materials Project).
Kinematic intensities with the Lorentz-polarization factor, no thermal factor.

Structure:
```
Cs3NiF7
1.0
8.4772 0.0000 0.0000
0.0000 8.4772 0.0000
0.0000 0.0000 6.2664
Cs Ni F
6 2 14
direct
0.0000 0.0000 0.0000 Cs
0.1930 0.3070 0.5000 Cs
0.3070 0.8070 0.5000 Cs
0.5000 0.5000 0.0000 Cs
0.6930 0.1930 0.5000 Cs
0.8070 0.6930 0.5000 Cs
0.0000 0.5000 0.0000 Ni
0.5000 0.0000 0.0000 Ni
0.0000 0.0000 0.5000 F
0.1061 0.6061 0.2052 F
0.1061 0.6061 0.7948 F
0.1506 0.3494 0.0000 F
0.3494 0.8494 0.0000 F
0.3939 0.1061 0.2052 F
0.3939 0.1061 0.7948 F
0.5000 0.5000 0.5000 F
0.6061 0.8939 0.2052 F
0.6061 0.8939 0.7948 F
0.6506 0.1506 0.0000 F
0.8494 0.6506 0.0000 F
0.8939 0.3939 0.2052 F
0.8939 0.3939 0.7948 F
```

Top 12 peaks for 15 to 90 degrees two-theta, by angle:
- d = 3.791 Å, intensity 18
- d = 3.511 Å, intensity 100
- d = 3.244 Å, intensity 25
- d = 3.133 Å, intensity 28
- d = 2.997 Å, intensity 35
- d = 2.681 Å, intensity 17
- d = 2.415 Å, intensity 29
- d = 2.166 Å, intensity 26
- d = 2.056 Å, intensity 13
- d = 1.954 Å, intensity 14
- d = 1.874 Å, intensity 15
- d = 1.719 Å, intensity 11